Calculated XRD peak list of K3MoO4 for copper Kα, from DFT lattice parameters and positions (PBE+U).

```
data_K3MoO4
_cell_length_a 8.325
_cell_length_b 6.840
_cell_length_c 6.264
_cell_angle_alpha 90.00
_cell_angle_beta 90.00
_cell_angle_gamma 90.00
_space_group_name_H-M_alt 'P m n 21'
_space_group_IT_number 31
loop_
_space_group_symop_operation_xyz
'x,y,z'
'-x+1/2,-y,z+1/2'
'-x,y,z'
'x+1/2,-y,z+1/2'
loop_
_atom_site_label
_atom_site_fract_x
_atom_site_fract_y
_atom_site_fract_z
K1 0.000 0.142 0.000
K2 0.241 0.326 0.490
Mo1 0.000 0.821 0.477
O1 0.000 0.081 0.574
O2 0.000 0.785 0.181
O3 0.196 0.711 0.566
```

Top 12 peaks for 2θ = 10–80°, low angle first:
hkl, 2theta, I (rel.)
1 1 0, 16.78, 381
1 0 1, 17.72, 423
0 1 1, 19.21, 219
2 1 0, 25.04, 493
0 2 0, 26.06, 308
0 0 2, 28.50, 580
2 1 1, 28.87, 1000
0 2 1, 29.76, 433
2 1 2, 38.30, 225
2 3 0, 45.36, 315
2 1 3, 50.70, 317
2 3 2, 54.44, 259